Structure and calculated X-ray diffraction stick pattern of VOF (the PBE+U geometry in the Materials Project; λ = 1.5418 Å (Cu Kα)).
Kinematic intensities with the Lorentz-polarization factor, no thermal factor.

Cell and atoms:
Unit cell a=4.754 b=3.098 c=18.985 alpha=90.00 beta=93.81 gamma=90.00
Fractional coordinates of all 24 atoms:
1 V 0.000 0.000 0.000
2 V 0.008 0.000 0.751
3 V 0.052 0.000 0.500
4 V 0.457 0.500 0.376
5 V 0.494 0.500 0.125
6 V 0.503 0.500 0.875
7 V 0.517 0.500 0.625
8 V 0.984 0.000 0.250
9 O 0.187 0.500 0.298
10 O 0.199 0.500 0.050
11 O 0.205 0.500 0.800
12 O 0.217 0.500 0.551
13 O 0.300 0.000 0.425
14 O 0.789 0.500 0.200
15 O 0.801 0.500 0.950
16 O 0.810 0.500 0.700
17 F 0.296 0.000 0.174
18 F 0.306 0.000 0.924
19 F 0.316 0.000 0.674
20 F 0.690 0.000 0.329
21 F 0.694 0.000 0.076
22 F 0.699 0.000 0.826
23 F 0.711 0.000 0.574
24 F 0.804 0.500 0.451

Most intense lines, 10 to 90 degrees two-theta, in order of falling intensity:
hkl 1 0 -4, d = 3.469 Å, 25.68°, rel. 100
hkl 0 1 4, d = 2.593 Å, 34.59°, rel. 96
hkl 1 0 4, d = 3.245 Å, 27.48°, rel. 95
hkl 1 1 -8, d = 1.782 Å, 51.27°, rel. 67
hkl 1 1 8, d = 1.719 Å, 53.31°, rel. 52
hkl 0 1 12, d = 1.407 Å, 66.43°, rel. 43